The following is a calculated powder X-ray diffraction pattern of PmSm6Tm12. It was derived from a cell relaxed with GGA-PBE, using Cu Kα X-rays.
Lines closer than 0.1° are merged.

Crystal structure
```
data_PmSm6Tm12
_cell_length_a 9.3611
_cell_length_b 9.3611
_cell_length_c 9.3611
_cell_angle_alpha 110.91
_cell_angle_beta 110.91
_cell_angle_gamma 110.91
_space_group_name_H-M_alt 'P 1'
_space_group_IT_number 1
loop_
_space_group_symop_operation_xyz
'x,y,z'
loop_
_atom_site_label
_atom_site_type_symbol
_atom_site_fract_x
_atom_site_fract_y
_atom_site_fract_z
Pm1 Pm 0.0000 0.0000 0.0000
Sm1 Sm 0.0544 0.5785 0.3695
Sm2 Sm 0.3695 0.0544 0.5785
Sm3 Sm 0.4215 0.6305 0.9456
Sm4 Sm 0.5785 0.3695 0.0544
Sm5 Sm 0.6305 0.9456 0.4215
Sm6 Sm 0.9456 0.4215 0.6305
Tm1 Tm 0.1054 0.1571 0.7372
Tm2 Tm 0.1571 0.7372 0.1054
Tm3 Tm 0.2110 0.3155 0.4734
Tm4 Tm 0.2628 0.8946 0.8429
Tm5 Tm 0.3155 0.4734 0.2110
Tm6 Tm 0.4734 0.2110 0.3155
Tm7 Tm 0.5266 0.7890 0.6845
Tm8 Tm 0.6845 0.5266 0.7890
Tm9 Tm 0.7372 0.1054 0.1571
Tm10 Tm 0.7890 0.6845 0.5266
Tm11 Tm 0.8429 0.2628 0.8946
Tm12 Tm 0.8946 0.8429 0.2628
```

Top 6 peaks for 2θ = 10–80°, by angle:
2.889 Å, intensity 100
2.502 Å, intensity 51
1.769 Å, intensity 36
1.509 Å, intensity 43
1.445 Å, intensity 12
1.251 Å, intensity 6

The following is a calculated powder X-ray diffraction pattern of Pm2SmTm6. It was derived from a cell relaxed with GGA-PBE, using Cu Kα X-rays.
Lines closer than 0.1° are merged.

Crystal structure
```
data_Pm2SmTm6
_cell_length_a 9.6438
_cell_length_b 9.6438
_cell_length_c 3.5198
_cell_angle_alpha 90.00
_cell_angle_beta 90.00
_cell_angle_gamma 120.00
_space_group_name_H-M_alt 'P 1'
_space_group_IT_number 1
loop_
_space_group_symop_operation_xyz
'x,y,z'
loop_
_atom_site_label
_atom_site_type_symbol
_atom_site_fract_x
_atom_site_fract_y
_atom_site_fract_z
Pm1 Pm 0.3333 0.6667 0.2618
Pm2 Pm 0.6667 0.3333 0.7382
Sm1 Sm 0.0000 0.0000 0.5000
Tm1 Tm 0.0228 0.6725 0.7688
Tm2 Tm 0.3275 0.3503 0.7688
Tm3 Tm 0.3503 0.0228 0.2312
Tm4 Tm 0.6497 0.9772 0.7688
Tm5 Tm 0.6725 0.6497 0.2312
Tm6 Tm 0.9772 0.3275 0.2312
```

Top 10 peaks for 2θ = 10–80°, by angle:
2.843 Å, intensity 84
2.784 Å, intensity 100
2.691 Å, intensity 16
2.350 Å, intensity 14
1.989 Å, intensity 27
1.683 Å, intensity 12
1.618 Å, intensity 26
1.607 Å, intensity 17
1.488 Å, intensity 18
1.392 Å, intensity 10

The following is a calculated powder X-ray diffraction pattern of Pm3Sm2Tm2. It was derived from a cell relaxed with GGA-PBE, using Cu Kα X-rays.
Lines closer than 0.1° are merged.

Crystal structure
```
data_Pm3Sm2Tm2
_cell_length_a 6.2208
_cell_length_b 6.2208
_cell_length_c 8.0571
_cell_angle_alpha 97.40
_cell_angle_beta 97.40
_cell_angle_gamma 48.25
_space_group_name_H-M_alt 'P 1'
_space_group_IT_number 1
loop_
_space_group_symop_operation_xyz
'x,y,z'
loop_
_atom_site_label
_atom_site_type_symbol
_atom_site_fract_x
_atom_site_fract_y
_atom_site_fract_z
Pm1 Pm 0.0000 0.0000 0.0000
Pm2 Pm 0.1432 0.1432 0.4292
Pm3 Pm 0.8568 0.8568 0.5708
Sm1 Sm 0.4286 0.4286 0.2825
Sm2 Sm 0.5714 0.5714 0.7175
Tm1 Tm 0.2851 0.2851 0.8590
Tm2 Tm 0.7149 0.7149 0.1410
```

Top 10 peaks for 2θ = 10–80°, by angle:
2.937 Å, intensity 100
2.544 Å, intensity 34
2.541 Å, intensity 17
1.800 Å, intensity 18
1.797 Å, intensity 18
1.535 Å, intensity 14
1.533 Å, intensity 29
1.470 Å, intensity 6
1.467 Å, intensity 6
1.271 Å, intensity 4

The following is a calculated powder X-ray diffraction pattern of Pm5Sm3Tm2. It was derived from a cell relaxed with GGA-PBE, using Cu Kα X-rays.
Lines closer than 0.1° are merged.

Crystal structure
```
data_Pm5Sm3Tm2
_cell_length_a 9.2366
_cell_length_b 9.2366
_cell_length_c 9.9572
_cell_angle_alpha 108.35
_cell_angle_beta 108.35
_cell_angle_gamma 108.65
_space_group_name_H-M_alt 'P 1'
_space_group_IT_number 1
loop_
_space_group_symop_operation_xyz
'x,y,z'
loop_
_atom_site_label
_atom_site_type_symbol
_atom_site_fract_x
_atom_site_fract_y
_atom_site_fract_z
Pm1 Pm 0.0213 0.9787 0.7500
Pm2 Pm 0.1337 0.3829 0.7616
Pm3 Pm 0.2727 0.7273 0.2500
Pm4 Pm 0.3829 0.1337 0.2616
Pm5 Pm 0.4771 0.5229 0.2500
Pm6 Pm 0.5229 0.4771 0.7500
Pm7 Pm 0.6171 0.8663 0.7384
Pm8 Pm 0.7273 0.2727 0.7500
Pm9 Pm 0.8663 0.6171 0.2384
Pm10 Pm 0.9787 0.0213 0.2500
Sm1 Sm 0.0237 0.2751 0.0548
Sm2 Sm 0.2289 0.7711 0.7500
Sm3 Sm 0.2751 0.0237 0.5548
Sm4 Sm 0.7249 0.9763 0.4452
Sm5 Sm 0.7711 0.2289 0.2500
Sm6 Sm 0.9763 0.7249 0.9452
Tm1 Tm 0.2194 0.4694 0.4453
Tm2 Tm 0.4694 0.2194 0.9453
Tm3 Tm 0.5306 0.7806 0.0547
Tm4 Tm 0.7806 0.5306 0.5547
```

Top 10 peaks for 2θ = 10–80°, by angle:
3.027 Å, intensity 98
2.890 Å, intensity 100
2.795 Å, intensity 22
2.693 Å, intensity 47
2.480 Å, intensity 23
2.268 Å, intensity 19
1.877 Å, intensity 23
1.864 Å, intensity 22
1.532 Å, intensity 23
1.472 Å, intensity 25

The following is a calculated powder X-ray diffraction pattern of Pm6Sm3Tm. It was derived from a cell relaxed with GGA-PBE, using Cu Kα X-rays.
Lines closer than 0.1° are merged.

Crystal structure
```
data_Pm6Sm3Tm
_cell_length_a 7.0017
_cell_length_b 7.0017
_cell_length_c 7.0017
_cell_angle_alpha 90.85
_cell_angle_beta 90.85
_cell_angle_gamma 90.85
_space_group_name_H-M_alt 'P 1'
_space_group_IT_number 1
loop_
_space_group_symop_operation_xyz
'x,y,z'
loop_
_atom_site_label
_atom_site_type_symbol
_atom_site_fract_x
_atom_site_fract_y
_atom_site_fract_z
Pm1 Pm 0.0779 0.7464 0.4224
Pm2 Pm 0.2536 0.5776 0.9221
Pm3 Pm 0.4224 0.0779 0.7464
Pm4 Pm 0.5776 0.9221 0.2536
Pm5 Pm 0.7464 0.4224 0.0779
Pm6 Pm 0.9221 0.2536 0.5776
Sm1 Sm 0.0000 0.0000 0.0000
Sm2 Sm 0.2497 0.2497 0.2497
Sm3 Sm 0.7503 0.7503 0.7503
Tm1 Tm 0.5000 0.5000 0.5000
```

Top 10 peaks for 2θ = 10–80°, by angle:
3.112 Å, intensity 64
2.880 Å, intensity 100
2.823 Å, intensity 17
2.204 Å, intensity 16
2.114 Å, intensity 22
1.869 Å, intensity 11
1.704 Å, intensity 22
1.663 Å, intensity 20
1.638 Å, intensity 12
1.440 Å, intensity 12

The following is a calculated powder X-ray diffraction pattern of PmSm3Tm. It was derived from a cell relaxed with GGA-PBE, using Cu Kα X-rays.
Lines closer than 0.1° are merged.

Crystal structure
```
data_PmSm3Tm
_cell_length_a 6.3242
_cell_length_b 5.7796
_cell_length_c 9.6695
_cell_angle_alpha 90.00
_cell_angle_beta 108.98
_cell_angle_gamma 90.00
_space_group_name_H-M_alt 'P 1'
_space_group_IT_number 1
loop_
_space_group_symop_operation_xyz
'x,y,z'
loop_
_atom_site_label
_atom_site_type_symbol
_atom_site_fract_x
_atom_site_fract_y
_atom_site_fract_z
Pm1 Pm 0.0341 0.2500 0.3981
Pm2 Pm 0.9659 0.7500 0.6019
Sm1 Sm 0.1682 0.7500 0.0008
Sm2 Sm 0.2336 0.2500 0.8006
Sm3 Sm 0.3670 0.7500 0.3988
Sm4 Sm 0.6330 0.2500 0.6012
Sm5 Sm 0.7664 0.7500 0.1994
Sm6 Sm 0.8318 0.2500 0.9992
Tm1 Tm 0.4352 0.2500 0.1989
Tm2 Tm 0.5648 0.7500 0.8011
```

Top 10 peaks for 2θ = 10–80°, by angle:
3.165 Å, intensity 24
2.890 Å, intensity 25
2.776 Å, intensity 100
2.134 Å, intensity 16
1.828 Å, intensity 13
1.825 Å, intensity 7
1.646 Å, intensity 21
1.544 Å, intensity 23
1.528 Å, intensity 5
1.525 Å, intensity 11

The following is a calculated powder X-ray diffraction pattern of Pm6Sm3Tm. It was derived from a cell relaxed with GGA-PBE, using Cu Kα X-rays.
Lines closer than 0.1° are merged.

Crystal structure
```
data_Pm6Sm3Tm
_cell_length_a 11.0814
_cell_length_b 11.0814
_cell_length_c 6.4530
_cell_angle_alpha 90.00
_cell_angle_beta 90.00
_cell_angle_gamma 120.72
_space_group_name_H-M_alt 'P 1'
_space_group_IT_number 1
loop_
_space_group_symop_operation_xyz
'x,y,z'
loop_
_atom_site_label
_atom_site_type_symbol
_atom_site_fract_x
_atom_site_fract_y
_atom_site_fract_z
Pm1 Pm 0.0357 0.9643 0.5000
Pm2 Pm 0.0577 0.4767 0.9928
Pm3 Pm 0.2770 0.7230 0.2808
Pm4 Pm 0.2873 0.3733 0.1839
Pm5 Pm 0.3733 0.2873 0.6839
Pm6 Pm 0.4767 0.0577 0.4928
Pm7 Pm 0.5233 0.9423 0.9928
Pm8 Pm 0.6267 0.7127 0.1839
Pm9 Pm 0.7127 0.6267 0.6839
Pm10 Pm 0.7230 0.2770 0.7808
Pm11 Pm 0.9423 0.5233 0.4928
Pm12 Pm 0.9643 0.0357 0.0000
Sm1 Sm 0.0568 0.2878 0.5932
Sm2 Sm 0.2878 0.0568 0.0932
Sm3 Sm 0.3856 0.6144 0.7080
Sm4 Sm 0.6144 0.3856 0.2080
Sm5 Sm 0.7122 0.9432 0.5932
Sm6 Sm 0.9432 0.7122 0.0932
Tm1 Tm 0.1931 0.8069 0.7444
Tm2 Tm 0.8069 0.1931 0.2444
```

Top 10 peaks for 2θ = 10–80°, by angle:
3.171 Å, intensity 38
3.156 Å, intensity 56
3.137 Å, intensity 44
3.057 Å, intensity 28
2.874 Å, intensity 100
2.849 Å, intensity 53
2.782 Å, intensity 31
2.671 Å, intensity 64
2.651 Å, intensity 28
1.541 Å, intensity 22

The following is a calculated powder X-ray diffraction pattern of PmSm2Tm2. It was derived from a cell relaxed with GGA-PBE, using Cu Kα X-rays.
Lines closer than 0.1° are merged.

Crystal structure
```
data_PmSm2Tm2
_cell_length_a 14.5951
_cell_length_b 14.5951
_cell_length_c 14.5951
_cell_angle_alpha 14.14
_cell_angle_beta 14.14
_cell_angle_gamma 14.14
_space_group_name_H-M_alt 'P 1'
_space_group_IT_number 1
loop_
_space_group_symop_operation_xyz
'x,y,z'
loop_
_atom_site_label
_atom_site_type_symbol
_atom_site_fract_x
_atom_site_fract_y
_atom_site_fract_z
Pm1 Pm 0.0000 0.0000 0.0000
Sm1 Sm 0.1319 0.1319 0.1319
Sm2 Sm 0.8681 0.8681 0.8681
Tm1 Tm 0.3994 0.3994 0.3994
Tm2 Tm 0.6006 0.6006 0.6006
```

Top 10 peaks for 2θ = 10–80°, by angle:
3.080 Å, intensity 24
2.991 Å, intensity 80
2.929 Å, intensity 44
2.889 Å, intensity 83
2.780 Å, intensity 95
2.698 Å, intensity 100
2.528 Å, intensity 36
2.442 Å, intensity 42
1.796 Å, intensity 63
1.526 Å, intensity 73

The following is a calculated powder X-ray diffraction pattern of Pm3Sm8Tm2. It was derived from a cell relaxed with GGA-PBE, using Cu Kα X-rays.
Lines closer than 0.1° are merged.

Crystal structure
```
data_Pm3Sm8Tm2
_cell_length_a 8.7521
_cell_length_b 8.7521
_cell_length_c 7.0234
_cell_angle_alpha 106.09
_cell_angle_beta 106.09
_cell_angle_gamma 63.68
_space_group_name_H-M_alt 'P 1'
_space_group_IT_number 1
loop_
_space_group_symop_operation_xyz
'x,y,z'
loop_
_atom_site_label
_atom_site_type_symbol
_atom_site_fract_x
_atom_site_fract_y
_atom_site_fract_z
Pm1 Pm 0.0000 0.0000 0.0000
Pm2 Pm 0.1731 0.8269 0.5000
Pm3 Pm 0.8269 0.1731 0.5000
Sm1 Sm 0.1910 0.1910 0.8949
Sm2 Sm 0.1980 0.5594 0.8161
Sm3 Sm 0.4110 0.4110 0.2748
Sm4 Sm 0.4406 0.8020 0.1839
Sm5 Sm 0.5594 0.1980 0.8161
Sm6 Sm 0.5890 0.5890 0.7252
Sm7 Sm 0.8020 0.4406 0.1839
Sm8 Sm 0.8090 0.8090 0.1051
Tm1 Tm 0.2082 0.2082 0.4220
Tm2 Tm 0.7918 0.7918 0.5780
```

Top 10 peaks for 2θ = 10–80°, by angle:
3.104 Å, intensity 63
2.939 Å, intensity 80
2.869 Å, intensity 100
2.814 Å, intensity 66
2.774 Å, intensity 35
2.690 Å, intensity 78
2.573 Å, intensity 36
2.558 Å, intensity 31
1.575 Å, intensity 26
1.534 Å, intensity 26

The following is a calculated powder X-ray diffraction pattern of Pm10Sm4Tm. It was derived from a cell relaxed with GGA-PBE, using Cu Kα X-rays.
Lines closer than 0.1° are merged.

Crystal structure
```
data_Pm10Sm4Tm
_cell_length_a 9.0509
_cell_length_b 9.0509
_cell_length_c 9.0509
_cell_angle_alpha 100.97
_cell_angle_beta 100.97
_cell_angle_gamma 128.28
_space_group_name_H-M_alt 'P 1'
_space_group_IT_number 1
loop_
_space_group_symop_operation_xyz
'x,y,z'
loop_
_atom_site_label
_atom_site_type_symbol
_atom_site_fract_x
_atom_site_fract_y
_atom_site_fract_z
Pm1 Pm 0.9999 0.2116 0.7883
Pm2 Pm 0.0001 0.7884 0.2117
Pm3 Pm 0.2116 0.9999 0.7883
Pm4 Pm 0.2116 0.4233 0.2117
Pm5 Pm 0.2500 0.7500 0.5000
Pm6 Pm 0.4233 0.2116 0.2117
Pm7 Pm 0.5767 0.7884 0.7883
Pm8 Pm 0.7500 0.2500 0.5000
Pm9 Pm 0.7884 0.0001 0.2117
Pm10 Pm 0.7884 0.5767 0.7883
Sm1 Sm 0.2704 0.2704 0.5407
Sm2 Sm 0.2704 0.7296 0.0000
Sm3 Sm 0.7296 0.2704 0.0000
Sm4 Sm 0.7296 0.7296 0.4593
Tm1 Tm 0.5000 0.5000 0.0000
```

Top 10 peaks for 2θ = 10–80°, by angle:
3.256 Å, intensity 44
2.961 Å, intensity 43
2.880 Å, intensity 100
2.834 Å, intensity 97
2.677 Å, intensity 38
2.237 Å, intensity 41
2.036 Å, intensity 26
1.628 Å, intensity 34
1.416 Å, intensity 30
1.412 Å, intensity 28

The following is a calculated powder X-ray diffraction pattern of Pm2SmTm7. It was derived from a cell relaxed with GGA-PBE, using Cu Kα X-rays.
Lines closer than 0.1° are merged.

Crystal structure
```
data_Pm2SmTm7
_cell_length_a 6.0963
_cell_length_b 7.0631
_cell_length_c 7.9095
_cell_angle_alpha 76.89
_cell_angle_beta 75.12
_cell_angle_gamma 73.62
_space_group_name_H-M_alt 'P 1'
_space_group_IT_number 1
loop_
_space_group_symop_operation_xyz
'x,y,z'
loop_
_atom_site_label
_atom_site_type_symbol
_atom_site_fract_x
_atom_site_fract_y
_atom_site_fract_z
Pm1 Pm 0.2020 0.2975 0.0998
Pm2 Pm 0.7980 0.7025 0.9002
Sm1 Sm 0.0000 0.5000 0.5000
Tm1 Tm 0.0000 0.0000 0.5000
Tm2 Tm 0.1990 0.8008 0.1010
Tm3 Tm 0.3995 0.6008 0.6989
Tm4 Tm 0.4006 0.0995 0.6982
Tm5 Tm 0.5994 0.9005 0.3018
Tm6 Tm 0.6005 0.3992 0.3011
Tm7 Tm 0.8010 0.1992 0.8990
```

Top 10 peaks for 2θ = 10–80°, by angle:
2.886 Å, intensity 100
2.881 Å, intensity 99
2.508 Å, intensity 34
2.498 Å, intensity 34
2.485 Å, intensity 33
1.766 Å, intensity 36
1.762 Å, intensity 24
1.511 Å, intensity 22
1.508 Å, intensity 21
1.500 Å, intensity 28

The following is a calculated powder X-ray diffraction pattern of Pm3Sm3Tm2. It was derived from a cell relaxed with GGA-PBE, using Cu Kα X-rays.
Lines closer than 0.1° are merged.

Crystal structure
```
data_Pm3Sm3Tm2
_cell_length_a 5.7745
_cell_length_b 14.6275
_cell_length_c 6.3237
_cell_angle_alpha 90.00
_cell_angle_beta 90.00
_cell_angle_gamma 90.00
_space_group_name_H-M_alt 'P 1'
_space_group_IT_number 1
loop_
_space_group_symop_operation_xyz
'x,y,z'
loop_
_atom_site_label
_atom_site_type_symbol
_atom_site_fract_x
_atom_site_fract_y
_atom_site_fract_z
Pm1 Pm 0.2500 0.1241 0.1672
Pm2 Pm 0.2500 0.3759 0.1672
Pm3 Pm 0.2500 0.7500 0.6626
Pm4 Pm 0.7500 0.2500 0.3374
Pm5 Pm 0.7500 0.6241 0.8328
Pm6 Pm 0.7500 0.8759 0.8328
Sm1 Sm 0.2500 0.0006 0.6672
Sm2 Sm 0.2500 0.2500 0.6726
Sm3 Sm 0.2500 0.4994 0.6672
Sm4 Sm 0.7500 0.5006 0.3328
Sm5 Sm 0.7500 0.7500 0.3274
Sm6 Sm 0.7500 0.9994 0.3328
Tm1 Tm 0.2500 0.6255 0.1640
Tm2 Tm 0.2500 0.8745 0.1640
Tm3 Tm 0.7500 0.1255 0.8360
Tm4 Tm 0.7500 0.3745 0.8360
```

Top 10 peaks for 2θ = 10–80°, by angle:
3.164 Å, intensity 24
2.887 Å, intensity 25
2.775 Å, intensity 100
2.133 Å, intensity 16
1.827 Å, intensity 20
1.644 Å, intensity 21
1.544 Å, intensity 23
1.526 Å, intensity 16
1.388 Å, intensity 4
1.222 Å, intensity 8